Starting from a cell relaxed with PBE, the powder diffraction line list of Ba4PbS5 was calculated for a wavelength of 1.5418 Å.
Lines closer than 0.1° are merged.

Cell and atoms:
Lattice parameters (Å, degrees): 10.0687 10.0687 6.4217 90.00 90.00 90.00
Space group I4 (No. 79)
Asymmetric unit:
Ba 0.1011 0.7012 0.0000 (multiplicity 8)
Pb 0.0000 0.0000 0.5250 (multiplicity 2)
S 0.0000 0.0000 0.9552 (multiplicity 2)
S 0.0976 0.7052 0.5009 (multiplicity 8)

Largest 10 diffraction maxima, in order of rising 2θ, 2θ from 10° to 90°:
| 2θ/deg | intensity |
| --- | --- |
| 24.14 | 100 |
| 27.78 | 44 |
| 28.02 | 90 |
| 39.87 | 66 |
| 40.05 | 34 |
| 47.00 | 19 |
| 47.31 | 35 |
| 49.44 | 35 |
| 65.56 | 15 |
| 72.63 | 22 |

Starting from a cell relaxed with PBE, the powder diffraction line list of BaTlPb2S4 was calculated for a wavelength of 1.5418 Å.
Lines closer than 0.1° are merged.

Cell and atoms:
Lattice parameters (Å, degrees): 8.6224 8.6676 12.2170 90.00 90.00 90.00
Space group Imma (No. 74)
Asymmetric unit:
Ba 0.0000 0.0000 0.0000 (multiplicity 4)
Tl 0.2500 0.2500 0.2500 (multiplicity 4)
Pb 0.0000 0.0000 0.5000 (multiplicity 4)
Pb 0.2500 0.2500 0.7500 (multiplicity 4)
S 0.0000 0.0097 0.7445 (multiplicity 8)
S 0.2405 0.2500 0.5055 (multiplicity 8)

Largest 10 diffraction maxima, in order of rising 2θ, 2θ from 10° to 90°:
| 2θ/deg | intensity |
| --- | --- |
| 25.24 | 90 |
| 29.23 | 100 |
| 41.68 | 13 |
| 41.83 | 63 |
| 49.41 | 24 |
| 49.52 | 24 |
| 51.73 | 13 |
| 51.92 | 13 |
| 68.69 | 23 |
| 76.47 | 13 |

Starting from a cell relaxed with PBE, the powder diffraction line list of BaSb2Pb4 was calculated for a wavelength of 1.5418 Å.
Lines closer than 0.1° are merged.

Cell and atoms:
Lattice parameters (Å, degrees): 9.5146 9.5146 5.4251 90.00 90.00 90.00
Space group P4_2/mnm (No. 136)
Asymmetric unit:
Ba 0.0000 0.0000 0.0000 (multiplicity 2)
Sb 0.2115 0.2115 0.5000 (multiplicity 4)
Pb 0.0931 0.6535 0.5000 (multiplicity 8)

Largest 10 diffraction maxima, in order of rising 2θ, 2θ from 10° to 90°:
| 2θ/deg | intensity |
| --- | --- |
| 13.16 | 37 |
| 26.62 | 81 |
| 29.69 | 43 |
| 31.29 | 100 |
| 33.02 | 54 |
| 34.07 | 88 |
| 39.03 | 33 |
| 45.00 | 28 |
| 50.85 | 23 |
| 52.03 | 29 |